Entry 1:
For BaZnHg3, the GGA-PBE geometry in Alexandria gives the computed X-ray diffraction stick pattern in this record (Cu Kα (λ = 1.5418 Å)).

Cell and atoms:
```
data_BaZnHg3
_cell_length_a 8.458
_cell_length_b 7.498
_cell_length_c 9.421
_cell_angle_alpha 90.00
_cell_angle_beta 105.97
_cell_angle_gamma 90.00
_space_group_name_H-M_alt 'P 1 21/c 1'
_space_group_IT_number 14
loop_
_space_group_symop_operation_xyz
'x,y,z'
'-x,-y,-z'
'-x,y+1/2,-z+1/2'
'x,-y+1/2,z+1/2'
loop_
_atom_site_label
_atom_site_fract_x
_atom_site_fract_y
_atom_site_fract_z
_atom_site_occupancy
Ba1 0.169 0.079 0.224 1
Zn1 0.440 0.735 0.612 1
Hg1 0.109 0.656 0.060 1
Hg2 0.276 0.516 0.378 1
Hg3 0.423 0.126 0.602 1
```

Most intense lines, 15° ≤ 2θ ≤ 90°, in order of falling intensity:
2theta, d/Å, I (rel.)
31.00, 2.885, 100
29.01, 3.078, 84
32.13, 2.786, 69
33.53, 2.672, 49
27.75, 3.215, 40
37.32, 2.409, 37
32.48, 2.756, 25
26.89, 3.315, 19
24.92, 3.574, 17
43.37, 2.087, 17



Entry 2:
For Li2Sm3Sn4, the GGA-PBE geometry in Alexandria gives the computed X-ray diffraction stick pattern in this record (Cu Kα (λ = 1.5418 Å)).

Cell and atoms:
```
data_Li2Sm3Sn4
_cell_length_a 11.550
_cell_length_b 4.630
_cell_length_c 8.938
_cell_angle_alpha 90.00
_cell_angle_beta 108.60
_cell_angle_gamma 90.00
_space_group_name_H-M_alt 'C 1 2/m 1'
_space_group_IT_number 12
loop_
_space_group_symop_operation_xyz
'x,y,z'
'-x,-y,-z'
'-x,y,-z'
'x,-y,z'
'x+1/2,y+1/2,z'
'-x+1/2,-y+1/2,-z'
'-x+1/2,y+1/2,-z'
'x+1/2,-y+1/2,z'
loop_
_atom_site_label
_atom_site_fract_x
_atom_site_fract_y
_atom_site_fract_z
_atom_site_occupancy
Li1 0.182 0.000 0.359 1
Sm1 0.000 0.500 0.000 1
Sm2 0.135 0.000 0.686 1
Sn1 0.076 0.500 0.391 1
Sn2 0.205 0.000 0.071 1
```

Most intense lines, 15° ≤ 2θ ≤ 90°, in order of falling intensity:
2theta, d/Å, I (rel.)
31.57, 2.834, 100
31.21, 2.866, 74
30.32, 2.948, 66
38.76, 2.323, 62
38.90, 2.315, 48
31.69, 2.824, 34
30.65, 2.917, 29
30.97, 2.887, 28
44.80, 2.023, 25
61.34, 1.511, 22



Entry 3:
For PrPaAsO2, the GGA-PBE geometry in Alexandria gives the computed X-ray diffraction stick pattern in this record (Cu Kα (λ = 1.5418 Å)).

Cell and atoms:
```
data_PrPaAsO2
_cell_length_a 3.863
_cell_length_b 3.863
_cell_length_c 12.480
_cell_angle_alpha 90.00
_cell_angle_beta 90.00
_cell_angle_gamma 90.00
_space_group_name_H-M_alt 'I 4 m m'
_space_group_IT_number 107
_space_group_name_Hall 'I 4 -2'
loop_
_atom_site_label
_atom_site_fract_x
_atom_site_fract_y
_atom_site_fract_z
_atom_site_occupancy
Pr1 0.000 0.000 0.000 1
Pa1 0.000 0.000 0.714 1
As1 0.000 0.000 0.355 1
O1 0.000 0.500 0.120 1
```

Most intense lines, 15° ≤ 2θ ≤ 90°, in order of falling intensity:
2theta, d/Å, I (rel.)
31.61, 2.831, 100
32.79, 2.732, 45
57.79, 1.595, 37
24.12, 3.690, 31
47.05, 1.932, 22
44.06, 2.055, 19
55.53, 1.655, 14
56.88, 1.619, 10
28.61, 3.120, 10
76.83, 1.241, 8